Entry 1:
For TePd4Se2, a crystal structure in Alexandria, relaxed with GGA-PBE gives the computed XRD peak list in this record (Cu Ka).

Most intense lines, 2θ = 5–70°, by intensity:
- 39.26°, d 2.295, intensity 100
- 27.57°, d 3.236, intensity 28
- 35.99°, d 2.496, intensity 27
- 45.94°, d 1.976, intensity 18
- 59.70°, d 1.549, intensity 12
- 66.89°, d 1.399, intensity 11
- 53.12°, d 1.724, intensity 10
- 53.66°, d 1.708, intensity 10
- 29.87°, d 2.991, intensity 10
- 66.30°, d 1.410, intensity 9

Crystal structure
```
data_TePd4Se2
_space_group_name_H-M_alt 'C m m m'
_space_group_IT_number 65
_space_group_name_Hall '-C 2 2'
_cell_length_a 6.832
_cell_length_b 9.982
_cell_length_c 3.951
_cell_angle_alpha 90.00
_cell_angle_beta 90.00
_cell_angle_gamma 90.00
loop_
_atom_site_label
_atom_site_type_symbol
_atom_site_fract_x
_atom_site_fract_y
_atom_site_fract_z
_atom_site_occupancy
Te1 Te 0.000 0.000 0.000 1
Pd1 Pd 0.215 0.500 0.500 1
Pd2 Pd 0.250 0.250 0.000 1
Se1 Se 0.000 0.299 0.500 1
```



Entry 2:
For Li8CdGa2, a crystal structure in Alexandria, relaxed with GGA-PBE gives the computed XRD peak list in this record (Cu Ka).

Most intense lines, 2θ = 5–70°, by intensity:
- 20.29°, d 4.377, intensity 100
- 26.51°, d 3.363, intensity 93
- 23.32°, d 3.814, intensity 69
- 19.32°, d 4.594, intensity 67
- 38.92°, d 2.314, intensity 64
- 39.26°, d 2.295, intensity 63
- 26.95°, d 3.308, intensity 52
- 46.59°, d 1.949, intensity 42
- 41.85°, d 2.158, intensity 32
- 31.97°, d 2.799, intensity 31

Crystal structure
```
data_Li8CdGa2
_space_group_name_H-M_alt 'C 1 2/m 1'
_space_group_IT_number 12
_cell_length_a 15.277
_cell_length_b 4.354
_cell_length_c 5.544
_cell_angle_alpha 90.00
_cell_angle_beta 92.92
_cell_angle_gamma 90.00
loop_
_space_group_symop_operation_xyz
'x,y,z'
'-x,-y,-z'
'-x,y,-z'
'x,-y,z'
'x+1/2,y+1/2,z'
'-x+1/2,-y+1/2,-z'
'-x+1/2,y+1/2,-z'
'x+1/2,-y+1/2,z'
loop_
_atom_site_label
_atom_site_type_symbol
_atom_site_fract_x
_atom_site_fract_y
_atom_site_fract_z
_atom_site_occupancy
Li1 Li 0.053 0.000 0.228 1
Li2 Li 0.098 0.500 0.956 1
Li3 Li 0.140 0.000 0.684 1
Li4 Li 0.188 0.500 0.395 1
Cd1 Cd 0.000 0.500 0.500 1
Ga1 Ga 0.229 0.000 0.125 1
```



Entry 3:
For Y2GaTe2, a crystal structure in Alexandria, relaxed with GGA-PBE gives the computed XRD peak list in this record (Cu Ka).

Most intense lines, 2θ = 5–70°, by intensity:
- 33.00°, d 2.715, intensity 100
- 33.45°, d 2.679, intensity 44
- 63.83°, d 1.458, intensity 22
- 58.63°, d 1.574, intensity 17
- 46.67°, d 1.946, intensity 11
- 14.79°, d 5.989, intensity 11
- 50.21°, d 1.817, intensity 10
- 42.70°, d 2.118, intensity 9
- 45.43°, d 1.996, intensity 9
- 45.08°, d 2.011, intensity 8

Crystal structure
```
data_Y2GaTe2
_space_group_name_H-M_alt 'P 4/m b m'
_space_group_IT_number 127
_space_group_name_Hall '-P 4 2ab'
_cell_length_a 8.470
_cell_length_b 8.470
_cell_length_c 3.893
_cell_angle_alpha 90.00
_cell_angle_beta 90.00
_cell_angle_gamma 90.00
loop_
_atom_site_label
_atom_site_type_symbol
_atom_site_fract_x
_atom_site_fract_y
_atom_site_fract_z
_atom_site_occupancy
Y1 Y 0.150 0.350 0.000 1
Ga1 Ga 0.000 0.000 0.500 1
Te1 Te 0.146 0.646 0.500 1
```



Entry 4:
For Ta2VH4, a crystal structure in Alexandria, relaxed with GGA-PBE gives the computed XRD peak list in this record (Cu Ka).

Most intense lines, 2θ = 5–70°, by intensity:
- 37.06°, d 2.426, intensity 100
- 38.77°, d 2.323, intensity 80
- 19.10°, d 4.645, intensity 76
- 65.64°, d 1.422, intensity 34
- 45.07°, d 2.012, intensity 31
- 49.37°, d 1.846, intensity 20
- 59.68°, d 1.549, intensity 17
- 59.75°, d 1.548, intensity 17
- 69.06°, d 1.360, intensity 15
- 31.45°, d 2.845, intensity 4

Crystal structure
```
data_Ta2VH4
_space_group_name_H-M_alt 'I 41/a m d'
_space_group_IT_number 141
_cell_length_a 5.686
_cell_length_b 5.686
_cell_length_c 8.056
_cell_angle_alpha 90.00
_cell_angle_beta 90.00
_cell_angle_gamma 90.00
loop_
_space_group_symop_operation_xyz
'x,y,z'
'-x,-y,-z'
'-y+1/4,x+3/4,z+1/4'
'y+1/4,-x+3/4,-z+1/4'
'-x+1/2,-y,z+1/2'
'x+1/2,y,-z+1/2'
'y+1/4,-x+1/4,z+3/4'
'-y+1/4,x+1/4,-z+3/4'
'x,-y,-z'
'-x,y,z'
'-y+1/4,-x+1/4,-z+3/4'
'y+1/4,x+1/4,z+3/4'
'-x+1/2,y,-z+1/2'
'x+1/2,-y,z+1/2'
'y+1/4,x+3/4,-z+1/4'
'-y+1/4,-x+3/4,z+1/4'
'x+1/2,y+1/2,z+1/2'
'-x+1/2,-y+1/2,-z+1/2'
'-y+3/4,x+1/4,z+3/4'
'y+3/4,-x+1/4,-z+3/4'
'-x,-y+1/2,z'
'x,y+1/2,-z'
'y+3/4,-x+3/4,z+1/4'
'-y+3/4,x+3/4,-z+1/4'
'x+1/2,-y+1/2,-z+1/2'
'-x+1/2,y+1/2,z+1/2'
'-y+3/4,-x+3/4,-z+1/4'
'y+3/4,x+3/4,z+1/4'
'-x,y+1/2,-z'
'x,-y+1/2,z'
'y+3/4,x+1/4,-z+3/4'
'-y+3/4,-x+1/4,z+3/4'
loop_
_atom_site_label
_atom_site_type_symbol
_atom_site_fract_x
_atom_site_fract_y
_atom_site_fract_z
_atom_site_occupancy
Ta1 Ta 0.000 0.000 0.000 1
V1 V 0.000 0.250 0.375 1
H1 H 0.000 0.009 0.755 1
```